Entry 1:
LiEr4ScS8: simulated X-ray diffraction stick pattern (CuKα), based on a cell relaxed with PBE.

Lattice parameters (Å, degrees): 7.9151 7.9151 19.0389 90.00 90.00 120.00
Space group R3m (No. 160, hexagonal axes)
Unique sites:
Li (0.0000, 0.0000, 0.0000) (multiplicity 3)
Er (0.0000, 0.0000, 0.2482) (multiplicity 3)
Er (0.1725, 0.3451, 0.4573) (multiplicity 9)
Sc (0.0000, 0.0000, 0.6319) (multiplicity 3)
S (0.0000, 0.0000, 0.3831) (multiplicity 3)
S (0.0000, 0.0000, 0.8697) (multiplicity 3)
S (0.0238, 0.5119, 0.3739) (multiplicity 9)
S (0.1812, 0.3624, 0.2085) (multiplicity 9)

Most intense lines, 2θ from 5° to 70°, most intense first:
hkl 0 2 1, 26.42 deg, I = 100
hkl 0 2 4, 32.18 deg, I = 72
hkl 1 1 3, 26.54 deg, I = 67
hkl 2 2 0, 45.86 deg, I = 60
hkl 2 0 8, 46.45 deg, I = 59
hkl 0 0 3, 13.95 deg, I = 55
hkl 0 1 2, 15.93 deg, I = 47
hkl 1 0 4, 22.74 deg, I = 37
hkl 0 1 5, 26.78 deg, I = 34
hkl 1 2 5, 42.19 deg, I = 31


Entry 2:
Pr4CdAu3: simulated X-ray diffraction stick pattern (CuKα), based on a cell relaxed with PBE.

Lattice parameters (Å, degrees): 3.958 4.874 11.530 90.00 90.00 90.00
Space group Pmm2 (No. 25)
Unique sites:
Pr (0.000, 0.000, 0.000) (multiplicity 1)
Pr (0.000, 0.500, 0.268) (multiplicity 1)
Pr (0.500, 0.000, 0.485) (multiplicity 1)
Pr (0.500, 0.500, 0.776) (multiplicity 1)
Cd (0.000, 0.000, 0.711) (multiplicity 1)
Au (0.000, 0.500, 0.547) (multiplicity 1)
Au (0.500, 0.000, 0.216) (multiplicity 1)
Au (0.500, 0.500, 0.050) (multiplicity 1)

Most intense lines, 2θ from 5° to 70°, most intense first:
hkl 1 1 1, 30.10 deg, I = 100
hkl 1 1 3, 37.48 deg, I = 85
hkl 0 2 0, 36.89 deg, I = 38
hkl 0 1 4, 36.21 deg, I = 33
hkl 0 0 4, 31.03 deg, I = 28
hkl 2 0 0, 45.86 deg, I = 20
hkl 2 2 0, 60.24 deg, I = 18
hkl 1 0 3, 32.47 deg, I = 17
hkl 0 2 4, 48.95 deg, I = 16
hkl 1 3 3, 66.84 deg, I = 16


Entry 3:
BaTl2InSb2: simulated X-ray diffraction stick pattern (CuKα), based on a cell relaxed with PBE.

Lattice parameters (Å, degrees): 4.802 10.294 8.403 90.00 90.00 90.00
Space group Pmc2_1 (No. 26)
Unique sites:
Ba (0.000, 0.103, 0.000) (multiplicity 2)
Tl (0.000, 0.328, 0.339) (multiplicity 2)
Tl (0.500, 0.443, 0.045) (multiplicity 2)
In (0.500, 0.183, 0.651) (multiplicity 2)
Sb (0.000, 0.355, 0.714) (multiplicity 2)
Sb (0.500, 0.093, 0.305) (multiplicity 2)

Most intense lines, 2θ from 5° to 70°, most intense first:
hkl 1 2 1, 27.53 deg, I = 100
hkl 1 1 2, 29.55 deg, I = 97
hkl 2 0 0, 37.45 deg, I = 42
hkl 0 1 3, 33.14 deg, I = 41
hkl 1 3 0, 32.06 deg, I = 39
hkl 2 1 3, 50.87 deg, I = 25
hkl 1 4 3, 51.87 deg, I = 22
hkl 0 3 1, 28.09 deg, I = 20
hkl 0 3 2, 33.72 deg, I = 20
hkl 0 4 1, 36.52 deg, I = 19


Copy entry 1 word for word.
LiEr4ScS8: simulated X-ray diffraction stick pattern (CuKα), based on a cell relaxed with PBE.

Lattice parameters (Å, degrees): 7.9151 7.9151 19.0389 90.00 90.00 120.00
Space group R3m (No. 160, hexagonal axes)
Unique sites:
Li (0.0000, 0.0000, 0.0000) (multiplicity 3)
Er (0.0000, 0.0000, 0.2482) (multiplicity 3)
Er (0.1725, 0.3451, 0.4573) (multiplicity 9)
Sc (0.0000, 0.0000, 0.6319) (multiplicity 3)
S (0.0000, 0.0000, 0.3831) (multiplicity 3)
S (0.0000, 0.0000, 0.8697) (multiplicity 3)
S (0.0238, 0.5119, 0.3739) (multiplicity 9)
S (0.1812, 0.3624, 0.2085) (multiplicity 9)

Most intense lines, 2θ from 5° to 70°, most intense first:
hkl 0 2 1, 26.42 deg, I = 100
hkl 0 2 4, 32.18 deg, I = 72
hkl 1 1 3, 26.54 deg, I = 67
hkl 2 2 0, 45.86 deg, I = 60
hkl 2 0 8, 46.45 deg, I = 59
hkl 0 0 3, 13.95 deg, I = 55
hkl 0 1 2, 15.93 deg, I = 47
hkl 1 0 4, 22.74 deg, I = 37
hkl 0 1 5, 26.78 deg, I = 34
hkl 1 2 5, 42.19 deg, I = 31